# Na2OsO7
Theoretical X-ray diffraction stick pattern, Cu Kα X-rays. Input: a PBE-relaxed structure.
Intensities are scaled so that the largest is 100.

Largest 6 diffraction maxima, low angle first, 10° ≤ 2θ ≤ 90°:
two_theta, d_spacing, Rel. int.
17.2, 5.143, 100
19.2, 4.622, 20
21.2, 4.196, 16
27.4, 3.254, 19
28.8, 3.105, 29
32.7, 2.741, 21

Structure:
```
Na2OsO7
1.0
6.201 0.000 0.000
0.000 9.244 0.000
-0.547 0.000 6.201
Na Os O
4 2 14
Direct
0.213 0.000 0.180
0.253 0.566 0.140
0.747 0.066 0.860
0.787 0.500 0.820
0.256 0.242 0.774
0.744 0.742 0.226
0.057 0.186 0.959
0.147 0.207 0.510
0.164 0.425 0.823
0.384 0.070 0.853
0.393 0.657 0.654
0.422 0.783 0.715
0.474 0.812 0.240
0.526 0.312 0.760
0.578 0.283 0.285
0.607 0.157 0.346
0.616 0.570 0.147
0.836 0.925 0.177
0.853 0.707 0.490
0.943 0.686 0.041
```



# Nd2SO2
Theoretical X-ray diffraction stick pattern, Cu Kα X-rays. Input: a PBE-relaxed structure.
Intensities are scaled so that the largest is 100.

Largest 6 diffraction maxima, low angle first, 10° ≤ 2θ ≤ 90°:
two_theta, d_spacing, Rel. int.
25.8, 3.449, 20
26.0, 3.425, 22
29.0, 3.081, 100
37.0, 2.430, 30
45.6, 1.991, 32
47.8, 1.904, 25

Structure:
```
Nd2SO2
1.0
3.983 0.000 0.000
-1.991 3.449 0.000
0.000 0.000 6.849
Nd S O
2 1 2
Direct
0.333 0.667 0.280
0.667 0.333 0.720
0.000 0.000 0.000
0.333 0.667 0.629
0.667 0.333 0.371
```



# Dy2Al17
Theoretical X-ray diffraction stick pattern, Cu Kα X-rays. Input: a PBE-relaxed structure.
Intensities are scaled so that the largest is 100.

Largest 6 diffraction maxima, low angle first, 10° ≤ 2θ ≤ 90°:
two_theta, d_spacing, Rel. int.
14.7, 6.025, 36
18.7, 4.736, 50
27.5, 3.239, 83
32.7, 2.735, 54
38.0, 2.368, 57
38.7, 2.328, 100

Structure:
```
Dy2Al17
1.0
9.473 0.000 0.000
-4.736 8.204 0.000
0.000 0.000 8.876
Dy Al
4 34
Direct
0.000 0.000 0.250
0.000 0.000 0.750
0.333 0.667 0.250
0.667 0.333 0.750
0.000 0.500 0.000
0.000 0.500 0.500
0.036 0.363 0.750
0.036 0.673 0.750
0.163 0.326 0.026
0.163 0.326 0.474
0.163 0.837 0.026
0.163 0.837 0.474
0.326 0.163 0.526
0.326 0.163 0.974
0.327 0.363 0.750
0.327 0.964 0.750
0.333 0.667 0.601
0.333 0.667 0.899
0.363 0.036 0.250
0.363 0.327 0.250
0.500 0.000 0.000
0.500 0.000 0.500
0.500 0.500 0.000
0.500 0.500 0.500
0.637 0.673 0.750
0.637 0.964 0.750
0.667 0.333 0.101
0.667 0.333 0.399
0.673 0.036 0.250
0.673 0.637 0.250
0.674 0.837 0.026
0.674 0.837 0.474
0.837 0.163 0.526
0.837 0.163 0.974
0.837 0.674 0.526
0.837 0.674 0.974
0.964 0.327 0.250
0.964 0.637 0.250
```



# NdGe2Ru2
Theoretical X-ray diffraction stick pattern, Cu Kα X-rays. Input: a PBE-relaxed structure.
Intensities are scaled so that the largest is 100.

Largest 6 diffraction maxima, low angle first, 10° ≤ 2θ ≤ 90°:
two_theta, d_spacing, Rel. int.
33.8, 2.652, 65
34.4, 2.605, 100
42.0, 2.150, 64
55.0, 1.670, 32
63.1, 1.473, 23
71.9, 1.313, 23

Structure:
```
NdGe2Ru2
1.0
-2.150 2.150 5.053
2.150 -2.150 5.053
2.150 2.150 -5.053
Nd Ge Ru
1 2 2
Direct
0.000 0.000 0.000
0.367 0.367 0.000
0.633 0.633 0.000
0.250 0.750 0.500
0.750 0.250 0.500
```



# Au2O3
Theoretical X-ray diffraction stick pattern, Cu Kα X-rays. Input: a PBE-relaxed structure.
Intensities are scaled so that the largest is 100.

Largest 6 diffraction maxima, low angle first, 10° ≤ 2θ ≤ 90°:
two_theta, d_spacing, Rel. int.
24.5, 3.640, 100
31.3, 2.857, 38
32.2, 2.782, 83
33.6, 2.666, 33
34.2, 2.619, 57
39.6, 2.277, 38

Structure:
```
Au2O3
1.0
4.056 0.000 0.000
2.028 5.331 0.000
2.028 0.000 6.523
Au O
4 6
Direct
0.000 0.000 0.000
0.042 0.956 0.500
0.197 0.456 0.189
0.672 0.488 0.683
0.138 0.755 0.762
0.151 0.238 0.593
0.400 0.731 0.102
0.559 0.267 0.928
0.840 0.686 0.432
0.908 0.198 0.265
```



# SiHg4S6
Theoretical X-ray diffraction stick pattern, Cu Kα X-rays. Input: a PBE-relaxed structure.
Intensities are scaled so that the largest is 100.

Largest 6 diffraction maxima, low angle first, 10° ≤ 2θ ≤ 90°:
two_theta, d_spacing, Rel. int.
24.4, 3.653, 86
25.4, 3.504, 97
25.6, 3.479, 100
28.5, 3.128, 60
28.8, 3.099, 73
45.8, 1.980, 67

Structure:
```
SiHg4S6
1.0
6.334 -3.639 0.000
6.334 3.639 0.000
-4.405 0.000 11.890
Si Hg S
2 8 12
Direct
0.228 0.772 0.500
0.772 0.228 0.000
0.003 0.122 0.755
0.122 0.003 0.255
0.130 0.366 0.561
0.241 0.626 0.908
0.366 0.130 0.061
0.626 0.241 0.408
0.630 0.825 0.749
0.825 0.630 0.249
0.195 0.666 0.321
0.358 0.882 0.869
0.419 0.939 0.552
0.420 0.484 0.573
0.484 0.420 0.073
0.489 0.997 0.249
0.666 0.195 0.821
0.882 0.358 0.369
0.920 0.942 0.548
0.939 0.419 0.052
0.942 0.920 0.048
0.997 0.489 0.749
```



# Cs3ScBr6
Theoretical X-ray diffraction stick pattern, Cu Kα X-rays. Input: a PBE-relaxed structure.
Intensities are scaled so that the largest is 100.

Largest 6 diffraction maxima, low angle first, 10° ≤ 2θ ≤ 90°:
two_theta, d_spacing, Rel. int.
20.7, 4.297, 54
25.4, 3.509, 74
29.4, 3.039, 100
32.1, 2.788, 22
42.1, 2.149, 66
49.8, 1.832, 24

Structure:
```
Cs3ScBr6
1.0
0.000 6.077 6.077
6.077 0.000 6.077
6.077 6.077 0.000
Cs Sc Br
3 1 6
Direct
0.000 0.000 0.000
0.250 0.250 0.250
0.750 0.750 0.750
0.500 0.500 0.500
0.281 0.281 0.719
0.281 0.719 0.281
0.281 0.719 0.719
0.719 0.281 0.281
0.719 0.281 0.719
0.719 0.719 0.281
```